Record 1
# LaNiBN
Calculated XRD peak list, a wavelength of 1.5418 Å. Input: a DFT-relaxed cell (PBE, the Materials Project).
Kinematic intensities with the Lorentz-polarization factor, no thermal factor.

Largest 8 diffraction maxima, most intense first, 2θ = 15–90°:
| d [Å] | I (rel.) |
| --- | --- |
| 3.357 | 100.0 |
| 2.510 | 68.4 |
| 2.157 | 67.9 |
| 2.627 | 52.3 |
| 1.646 | 46.3 |
| 1.890 | 44.4 |
| 2.436 | 41.6 |
| 1.493 | 34.3 |

Cell and atoms:
```
LaNiBN
1.0
3.7795 0.0000 0.0000
0.0000 3.7795 0.0000
0.0000 0.0000 7.3074
La Ni B N
2 2 2 2
Cartesian
0.9449 0.9449 1.3018
2.8346 2.8346 6.0056
0.9449 2.8346 3.6537
2.8346 0.9449 3.6537
0.9449 0.9449 4.6351
2.8346 2.8346 2.6723
0.9449 0.9449 6.0797
2.8346 2.8346 1.2277
```

=====

Record 2
# La3Ni2B2N3
Calculated XRD peak list, a wavelength of 1.5418 Å. Input: a DFT-relaxed cell (PBE, the Materials Project).
Kinematic intensities with the Lorentz-polarization factor, no thermal factor.

Largest 8 diffraction maxima, most intense first, 2θ = 15–90°:
| d [Å] | I (rel.) |
| --- | --- |
| 3.277 | 100.0 |
| 2.738 | 54.6 |
| 1.633 | 48.0 |
| 2.491 | 41.9 |
| 1.884 | 40.3 |
| 2.664 | 36.8 |
| 2.078 | 36.6 |
| 2.573 | 36.6 |

Cell and atoms:
```
La3Ni2B2N3
1.0
-1.8836 1.8836 9.9660
1.8836 -1.8836 9.9660
1.8836 1.8836 -9.9660
La Ni B N
3 2 2 3
Cartesian
0.0000 0.0000 0.0000
0.0000 0.0000 7.3675
0.0000 0.0000 12.5644
1.8836 0.0000 4.9830
0.0000 1.8836 4.9830
0.0000 0.0000 3.9839
0.0000 0.0000 15.9480
0.0000 0.0000 2.5368
0.0000 0.0000 9.9660
0.0000 0.0000 17.3951
```

=====

Record 3
# LaNi4B
Calculated XRD peak list, a wavelength of 1.5418 Å. Input: a DFT-relaxed cell (PBE, the Materials Project).
Kinematic intensities with the Lorentz-polarization factor, no thermal factor.

Largest 8 diffraction maxima, most intense first, 2θ = 15–90°:
| d [Å] | I (rel.) |
| --- | --- |
| 2.060 | 100.0 |
| 2.741 | 73.0 |
| 2.206 | 71.3 |
| 1.356 | 26.1 |
| 2.548 | 25.9 |
| 1.505 | 23.3 |
| 1.274 | 20.7 |
| 1.442 | 13.3 |

Cell and atoms:
```
LaNi4B
1.0
5.0953 0.0000 0.0000
-2.5477 4.4127 0.0000
0.0000 0.0000 6.9957
La Ni B
2 8 2
Cartesian
0.0000 0.0000 0.0000
0.0000 0.0000 3.4978
-1.2738 2.2063 1.4366
-1.2738 2.2063 5.5591
0.0000 2.9418 3.4978
2.5477 0.0000 1.4366
2.5477 0.0000 5.5591
1.2738 2.2063 1.4366
1.2738 2.2063 5.5591
2.5477 1.4709 3.4978
0.0000 2.9418 0.0000
2.5477 1.4709 0.0000
```

=====

Record 4
# La2Ni5B4
Calculated XRD peak list, a wavelength of 1.5418 Å. Input: a DFT-relaxed cell (PBE, the Materials Project).
Kinematic intensities with the Lorentz-polarization factor, no thermal factor.

Largest 8 diffraction maxima, most intense first, 2θ = 15–90°:
| d [Å] | I (rel.) |
| --- | --- |
| 2.746 | 100.0 |
| 2.331 | 87.8 |
| 2.250 | 84.1 |
| 2.042 | 74.8 |
| 2.996 | 66.5 |
| 2.621 | 64.5 |
| 2.564 | 57.4 |
| 2.162 | 55.6 |

Cell and atoms:
```
La2Ni5B4
1.0
4.9075 -2.5658 0.0000
4.9075 2.5658 0.0000
-3.9172 0.0000 5.5733
La Ni B
2 5 4
Cartesian
1.6318 0.0000 0.8177
4.2661 0.0000 4.7556
1.7021 1.2900 3.4877
4.1957 1.2900 2.0856
4.9075 0.0000 0.0000
1.7021 -1.2900 3.4877
4.1957 -1.2900 2.0856
-1.5343 0.0000 3.5451
0.1449 0.0000 3.6741
5.7529 0.0000 1.8992
7.4322 0.0000 2.0282
```

=====

Record 5
# La2Ni6B3
Calculated XRD peak list, a wavelength of 1.5418 Å. Input: a DFT-relaxed cell (PBE, the Materials Project).
Kinematic intensities with the Lorentz-polarization factor, no thermal factor.

Largest 8 diffraction maxima, most intense first, 2θ = 15–90°:
| d [Å] | I (rel.) |
| --- | --- |
| 2.695 | 100.0 |
| 2.209 | 74.0 |
| 2.552 | 36.3 |
| 2.926 | 32.1 |
| 1.454 | 23.8 |
| 2.625 | 23.4 |
| 1.980 | 22.5 |
| 2.186 | 21.9 |

Cell and atoms:
```
La2Ni6B3
1.0
-2.6150 3.4003 4.1302
2.6150 -3.4003 4.1302
2.6150 3.4003 -4.1302
La Ni B
2 6 3
Cartesian
0.0000 0.0000 0.0000
0.0000 3.4003 0.9372
1.3150 2.1251 -1.5701
1.2999 -1.2751 2.5601
2.6150 1.7664 0.5096
1.3150 4.6754 -1.5701
1.2999 1.2751 2.5601
0.0000 1.6338 4.6398
2.6150 0.0000 1.5743
0.0000 0.0000 3.4565
0.0000 3.4003 3.7295
```

=====

Record 6
# La5B3O13
Calculated XRD peak list, a wavelength of 1.5418 Å. Input: a DFT-relaxed cell (PBE, the Materials Project).
Kinematic intensities with the Lorentz-polarization factor, no thermal factor.

Largest 8 diffraction maxima, most intense first, 2θ = 15–90°:
| d [Å] | I (rel.) |
| --- | --- |
| 2.820 | 100.0 |
| 2.845 | 81.1 |
| 3.276 | 57.1 |
| 3.921 | 51.0 |
| 4.058 | 45.6 |
| 3.067 | 45.4 |
| 2.705 | 43.8 |
| 1.765 | 40.0 |

Cell and atoms:
```
La5B3O13
1.0
9.3709 0.0000 0.0000
-4.6854 8.1154 0.0000
0.0000 0.0000 7.1607
La B O
10 6 26
Cartesian
-1.0333 2.0499 1.7902
-2.3936 7.9853 1.7902
1.2586 1.9198 5.3705
0.0000 5.4103 3.5953
0.0000 5.4103 7.1457
4.6854 2.7051 0.0150
4.6854 2.7051 3.5654
3.4268 6.1956 1.7902
7.0790 0.1301 5.3705
5.7187 6.0655 5.3705
-1.5808 3.2618 5.3705
-1.0702 7.8535 5.3705
2.0344 2.9999 1.7902
2.6510 5.1155 5.3705
5.7557 0.2619 1.7902
6.2662 4.8536 1.7902
0.0000 0.0000 1.7902
0.0000 0.0000 5.3705
-0.8247 2.8248 4.1547
-0.8247 2.8248 6.5863
-1.5943 4.7512 5.3705
-1.7357 5.4203 1.7902
-1.8268 7.4172 4.1547
-1.8268 7.4172 6.5863
0.8592 3.9021 1.7902
2.0340 2.1266 0.5744
2.0340 2.1266 3.0060
1.3679 4.3591 5.3705
0.2264 7.1205 5.3705
3.8089 1.2070 5.3705
0.8765 6.9084 1.7902
4.4591 0.9949 1.7902
3.3175 3.7563 1.7902
2.6514 5.9888 4.1547
2.6514 5.9888 6.5863
3.8262 4.2133 5.3705
6.5122 0.6982 0.5744
6.5122 0.6982 3.0060
6.4211 2.6951 5.3705
6.2797 3.3642 1.7902
5.5101 5.2906 0.5744
5.5101 5.2906 3.0060
```